This entry pairs a crystal structure of HPtS with its calculated powder XRD pattern. Radiation: Cu Kα X-rays. Structure: a structure optimized by DFT (GGA-PBE).

Atomic structure:
abc: 6.9454 3.9085 4.3431
angles: 90.00 121.68 90.00
Fractional coordinates of all 6 atoms:
H (0.0000, 0.0000, 0.0000)
H (0.5000, 0.5000, 0.0000)
Pt (0.1606, 0.0000, 0.4889)
Pt (0.6606, 0.5000, 0.4889)
S (0.3612, 0.5000, 0.5796)
S (0.8612, 0.0000, 0.5796)

Principal peaks in the range 10 to 90 degrees two-theta, by angle:
(hkl), Position (°2θ), d (Å), Rel. int.
0 0 1, 24.1, 3.696, 97
2 0 -1, 27.0, 3.305, 50
1 1 0, 27.4, 3.260, 100
2 0 0, 30.2, 2.955, 31
1 1 -1, 30.9, 2.896, 59
1 1 1, 41.9, 2.155, 57
3 1 -1, 45.5, 1.992, 37
3 1 0, 52.0, 1.759, 24
3 1 -2, 52.4, 1.748, 24
0 2 1, 53.0, 1.728, 23

***

This entry pairs a crystal structure of NiSeSN with its calculated powder XRD pattern. Radiation: Cu Kα X-rays. Structure: a structure optimized by DFT (GGA-PBE).

Atomic structure:
abc: 7.4390 2.8870 6.7157
angles: 90.00 111.44 90.00
Fractional coordinates of all 8 atoms:
Ni (0.0000, 0.0000, 0.0000)
Ni (0.5000, 0.5000, 0.0000)
Se (0.3883, 0.0000, 0.2286)
Se (0.8883, 0.5000, 0.2286)
S (0.1871, 0.5000, 0.7181)
S (0.6871, 0.0000, 0.7181)
N (0.0527, 0.5000, 0.8452)
N (0.5527, 0.0000, 0.8452)

Principal peaks in the range 10 to 90 degrees two-theta, by angle:
(hkl), Position (°2θ), d (Å), Rel. int.
0 0 1, 14.2, 6.251, 100
2 0 0, 25.7, 3.462, 22
2 0 1, 33.9, 2.646, 59
1 1 -1, 34.7, 2.586, 66
1 1 -2, 41.3, 2.185, 41
2 0 -3, 41.6, 2.170, 20
1 1 2, 47.9, 1.900, 23
3 1 -1, 48.4, 1.881, 19
3 1 0, 50.7, 1.802, 34
1 1 3, 60.1, 1.540, 16

***

Q: What is the formula in the first record?
A: HPtS